Structure and computed X-ray powder pattern of Ho2Pa2O5 (a GGA-PBE-relaxed structure; a wavelength of 1.5418 Å).
Kinematic intensities with the Lorentz-polarization factor, no thermal factor.

Top 8 peaks for 15 to 90 degrees two-theta, in order of rising 2θ:
| 2θ/deg | intensity | index |
| --- | --- | --- |
| 29.03 | 58.6 | 1 1 0 |
| 31.48 | 100.0 | 1 0 2 |
| 41.52 | 31.7 | 2 0 0 |
| 53.02 | 47.7 | 2 1 2 |
| 57.52 | 15.0 | 1 1 4 |
| 60.18 | 12.2 | 2 2 0 |
| 65.72 | 14.6 | 2 0 4 |
| 84.32 | 13.1 | 3 2 2 |

Atomic structure:
```
data_Ho2Pa2O5
_chemical_formula_sum 'Ho2 Pa2 O5'
_cell_length_a 4.3499
_cell_length_b 4.3499
_cell_length_c 7.5075
_cell_angle_alpha 90.00
_cell_angle_beta 90.00
_cell_angle_gamma 90.00
_symmetry_space_group_name_H-M 'P 4/m m m'
_symmetry_Int_Tables_number 123
_symmetry_space_group_name_Hall '-P 4 2'
loop_
_atom_site_label
_atom_site_type_symbol
_atom_site_fract_x
_atom_site_fract_y
_atom_site_fract_z
Ho1 Ho 0.0000 0.0000 0.2230
Pa1 Pa 0.5000 0.5000 0.0000
Pa2 Pa 0.5000 0.5000 0.5000
O1 O 0.0000 0.0000 0.5000
O2 O 0.0000 0.5000 0.2447
```